La2SmHgC: theoretical powder diffraction line list (Cu Kα (λ = 1.5418 Å)), based on DFT lattice parameters and positions (PBE).
Peak positions follow from Bragg's law for the DFT cell and can differ from measured ones.

a = 7.2758 Å, b = 7.2758 Å, c = 7.2758 Å
α = 119.93°, β = 119.93°, γ = 90.12°
Atoms (fractional coordinates):
La: 0.2025 0.7025 0.9049
La: 0.2975 0.2025 0.5000
La: 0.7025 0.7975 0.5000
La: 0.7975 0.2975 0.0951
Sm: 0.2522 0.2522 0.0000
Sm: 0.7522 0.7522 0.0000
Hg: 0.2502 0.7502 0.5000
Hg: 0.7502 0.2502 0.5000
C: 0.4908 0.4908 0.0000
C: 0.9908 0.9908 0.0000

Largest 6 diffraction maxima, by intensity, 10° ≤ 2θ ≤ 90°:
2θ = 30.07°, 2.971 Å, I = 100
2θ = 34.87°, 2.573 Å, I = 53
2θ = 50.14°, 1.819 Å, I = 31
2θ = 59.54°, 1.553 Å, I = 17
2θ = 28.75°, 3.105 Å, I = 15
2θ = 59.65°, 1.550 Å, I = 15